This entry pairs a crystal structure of Sr3Fe2Cu2S2O5 with its simulated X-ray diffraction stick pattern. Radiation: Cu Ka. Structure: a GGA+U-relaxed structure.
No peak broadening, texture or thermal motion is included.

The 10 most intense peaks (5 to 70 degrees two-theta), most intense first:
| d/Å | Position (°2θ) | intensity |
| --- | --- | --- |
| 2.741 | 32.67 | 100 |
| 1.983 | 45.76 | 40 |
| 2.368 | 38.00 | 38 |
| 1.606 | 57.36 | 31 |
| 1.570 | 58.81 | 22 |
| 2.804 | 31.92 | 17 |
| 2.583 | 34.73 | 12 |
| 1.402 | 66.71 | 12 |
| 2.211 | 40.81 | 6 |
| 1.476 | 62.96 | 5 |

Structure:
Cell: 13.560 13.560 13.560 Å, 163.18 163.18 23.87°
Element x y z (fractional)
Sr1 0.000 0.000 0.000
Sr2 0.143 0.143 0.000
Sr3 0.857 0.857 0.000
Fe1 0.427 0.427 0.000
Fe2 0.573 0.573 0.000
Cu1 0.250 0.750 0.500
Cu2 0.750 0.250 0.500
S1 0.302 0.302 0.000
S2 0.698 0.698 0.000
O1 0.083 0.583 0.500
O2 0.417 0.917 0.500
O3 0.500 0.500 0.000
O4 0.583 0.083 0.500
O5 0.917 0.417 0.500